1.
For PrBe2Pd5, a DFT-relaxed cell (GGA-PBE, Alexandria) gives the calculated powder XRD pattern in this record (CuKα).
Kinematic intensities with the Lorentz-polarization factor, no thermal factor.

Cell and atoms:
```
PrBe2Pd5
1.0
-1.9728 3.2507 4.9279
1.9728 -3.2507 4.9279
1.9728 3.2507 -4.9279
Pr Be Pd
1 2 5
direct
0.0000 0.0000 0.0000
0.2754 0.7754 0.5000
0.7246 0.2246 0.5000
0.1417 0.3491 0.7926
0.4435 0.6509 0.7926
0.5000 0.0000 0.5000
0.5565 0.3491 0.2074
0.8583 0.6509 0.2074
```

Largest 6 diffraction maxima, most intense first, 10° ≤ 2θ ≤ 90°:
d_spacing, 2θ (°), I/Imax
2.525, 35.6, 100.0
2.431, 37.0, 91.1
2.714, 33.0, 36.0
1.964, 46.2, 33.7
1.973, 46.0, 26.7
1.392, 67.3, 21.5

2.
For Pr2BePd3, a DFT-relaxed cell (GGA-PBE, Alexandria) gives the calculated powder XRD pattern in this record (CuKα).
Kinematic intensities with the Lorentz-polarization factor, no thermal factor.

Cell and atoms:
```
Pr2BePd3
1.0
3.9837 0.0000 0.0000
0.0000 4.1710 0.0000
0.0000 0.0000 7.7189
Pr Be Pd
2 1 3
direct
0.0000 0.0000 0.0000
0.0000 0.5000 0.4930
0.5000 0.5000 0.8248
0.5000 0.0000 0.3421
0.5000 0.0000 0.6931
0.5000 0.5000 0.1163
```

Largest 6 diffraction maxima, most intense first, 10° ≤ 2θ ≤ 90°:
d_spacing, 2θ (°), I/Imax
2.699, 33.2, 100.0
2.772, 32.3, 40.9
2.190, 41.2, 38.3
1.473, 63.1, 21.4
2.085, 43.4, 20.3
1.666, 55.1, 17.8

3.
For Be3Pd2Pt2, a DFT-relaxed cell (GGA-PBE, Alexandria) gives the calculated powder XRD pattern in this record (CuKα).
Kinematic intensities with the Lorentz-polarization factor, no thermal factor.

Cell and atoms:
```
Be3Pd2Pt2
1.0
1.9781 1.1421 6.4765
-1.9781 1.1421 6.4765
0.0000 -2.2842 6.4765
Be Pd Pt
3 2 2
direct
0.0000 0.0000 0.0000
0.2503 0.2503 0.2503
0.7497 0.7497 0.7497
0.1264 0.1264 0.1264
0.8736 0.8736 0.8736
0.3759 0.3759 0.3759
0.6241 0.6241 0.6241
```

Largest 6 diffraction maxima, most intense first, 10° ≤ 2θ ≤ 90°:
d_spacing, 2θ (°), I/Imax
2.800, 32.0, 100.0
1.980, 45.8, 83.4
1.143, 84.9, 21.5
1.616, 57.0, 19.5
1.251, 76.1, 16.7
1.253, 75.9, 16.6

4.
For Be5Pd4Pt, a DFT-relaxed cell (GGA-PBE, Alexandria) gives the calculated powder XRD pattern in this record (CuKα).
Kinematic intensities with the Lorentz-polarization factor, no thermal factor.

Cell and atoms:
```
Be5Pd4Pt
1.0
2.8117 0.0000 0.0000
0.0000 2.8117 0.0000
0.0000 0.0000 14.4020
Be Pd Pt
5 4 1
direct
0.0000 0.0000 0.0000
0.0000 0.0000 0.1992
0.0000 0.0000 0.3994
0.0000 0.0000 0.6006
0.0000 0.0000 0.8008
0.5000 0.5000 0.0996
0.5000 0.5000 0.2987
0.5000 0.5000 0.7013
0.5000 0.5000 0.9004
0.5000 0.5000 0.5000
```

Largest 6 diffraction maxima, most intense first, 10° ≤ 2θ ≤ 90°:
d_spacing, 2θ (°), I/Imax
2.812, 31.8, 100.0
2.012, 45.1, 92.2
2.880, 31.0, 53.3
1.988, 45.6, 44.5
1.636, 56.2, 39.6
1.152, 84.0, 30.3

5.
For Sm2Be4PdPt3, a DFT-relaxed cell (GGA-PBE, Alexandria) gives the calculated powder XRD pattern in this record (CuKα).
Kinematic intensities with the Lorentz-polarization factor, no thermal factor.

Cell and atoms:
```
Sm2Be4PdPt3
1.0
4.0520 0.0000 0.0000
0.0000 4.0520 0.0000
0.0000 0.0000 9.6151
Sm Be Pd Pt
2 4 1 3
direct
0.0000 0.5000 0.2475
0.5000 0.0000 0.7525
0.0000 0.0000 0.0000
0.0000 0.5000 0.6251
0.5000 0.0000 0.3749
0.5000 0.5000 0.0000
0.0000 0.0000 0.5000
0.0000 0.5000 0.8747
0.5000 0.0000 0.1253
0.5000 0.5000 0.5000
```

Largest 6 diffraction maxima, most intense first, 10° ≤ 2θ ≤ 90°:
d_spacing, 2θ (°), I/Imax
2.746, 32.6, 100.0
2.461, 36.5, 90.5
2.514, 35.7, 87.1
2.026, 44.7, 69.3
3.098, 28.8, 61.3
1.577, 58.5, 42.3

6.
For Pu2BeZnPd6, a DFT-relaxed cell (GGA-PBE, Alexandria) gives the calculated powder XRD pattern in this record (CuKα).
Kinematic intensities with the Lorentz-polarization factor, no thermal factor.

Cell and atoms:
```
Pu2BeZnPd6
1.0
5.7772 0.0000 0.0000
2.8818 5.0143 0.0000
2.8696 1.6459 6.3832
Pu Be Zn Pd
2 1 1 6
direct
0.2188 0.2209 0.3445
0.7812 0.7791 0.6555
0.0000 0.0000 0.0000
0.5000 0.5000 0.5000
0.2366 0.7161 0.8060
0.2383 0.2354 0.7981
0.2791 0.7656 0.1972
0.7209 0.2344 0.8028
0.7617 0.7646 0.2019
0.7634 0.2839 0.1940
```

Largest 6 diffraction maxima, most intense first, 10° ≤ 2θ ≤ 90°:
d_spacing, 2θ (°), I/Imax
2.219, 40.7, 100.0
2.425, 37.1, 85.0
3.043, 29.4, 52.3
2.418, 37.2, 42.4
2.403, 37.4, 35.8
2.637, 34.0, 35.3